# Li4Ni3Sn2O10
Computed X-ray powder pattern, copper Kα. Input: a PBE+U-relaxed structure.

Cell and atoms:
```
Li4Ni3Sn2O10
1.0
6.6655 0.0000 0.0000
-0.0975 8.0071 0.0000
-3.2765 -0.7825 7.3610
Li Ni Sn O
8 6 4 20
direct
0.1196 0.1934 0.3132
0.1910 0.8939 0.1097
0.2494 0.2616 0.9701
0.3359 0.5981 0.9211
0.6641 0.4019 0.0789
0.7506 0.7384 0.0299
0.8090 0.1061 0.8903
0.8804 0.8066 0.6868
0.0000 0.5000 0.5000
0.0518 0.8429 0.4024
0.4526 0.6517 0.5987
0.5000 0.0000 0.5000
0.5474 0.3483 0.4013
0.9482 0.1571 0.5976
0.1697 0.5489 0.1983
0.3460 0.9566 0.7977
0.6540 0.0434 0.2023
0.8303 0.4511 0.8017
0.0417 0.6615 0.9576
0.0677 0.0452 0.8188
0.0864 0.3680 0.7240
0.1675 0.7366 0.6279
0.2146 0.0472 0.5367
0.2694 0.4356 0.4384
0.3216 0.7749 0.3627
0.3982 0.1101 0.2793
0.4235 0.4471 0.1555
0.4587 0.8393 0.0319
0.5413 0.1607 0.9681
0.5765 0.5529 0.8445
0.6018 0.8899 0.7207
0.6784 0.2251 0.6373
0.7306 0.5644 0.5616
0.7854 0.9528 0.4633
0.8325 0.2634 0.3721
0.9136 0.6320 0.2760
0.9323 0.9548 0.1812
0.9583 0.3385 0.0424
```

Top 8 peaks for 2θ = 15–90°, sorted by position:
| 2theta | I_rel |
| --- | --- |
| 17.86 | 48 |
| 18.11 | 100 |
| 22.33 | 30 |
| 34.91 | 34 |
| 36.23 | 49 |
| 41.12 | 44 |
| 42.71 | 44 |
| 42.79 | 40 |